Computed PXRD pattern
Compound: NaPrNi4O12
Radiation: Cu Ka
Structure: a cell relaxed with PBE+U

Main lines, low angle first (2θ from 5° to 70°):
| 2θ (°) | d_spacing | Rel. int. | h k l |
| --- | --- | --- | --- |
| 11.49 | 7.699 | 34 | 0 0 1 |
| 16.52 | 5.366 | 34 | 1 0 0 |
| 20.17 | 4.402 | 76 | 1 0 1 |
| 23.45 | 3.794 | 27 | 1 1 0 |
| 33.15 | 2.702 | 100 | 1 1 2 |
| 33.40 | 2.683 | 50 | 2 0 0 |
| 47.95 | 1.897 | 49 | 2 2 0 |
| 59.54 | 1.553 | 38 | 3 1 2 |

Structure:
Cell lengths 5.3658, 5.3658, 7.6989 Å; angles 90.00, 90.00, 90.00 degrees
Space group P4/mmm (No. 123)
Inequivalent atoms, fractional coordinates:
Na (0.0000, 0.0000, 0.0000) (multiplicity 1)
Pr (0.5000, 0.5000, 0.5000) (multiplicity 1)
Ni (0.0000, 0.5000, 0.2450) (multiplicity 4)
O (0.0000, 0.5000, 0.0000) (multiplicity 2)
O (0.0000, 0.5000, 0.5000) (multiplicity 2)
O (0.2611, 0.2611, 0.2625) (multiplicity 8)